Structure and theoretical powder XRD pattern of LiAc2Cd6In (a DFT-relaxed cell (PBE, Alexandria); Cu Kα (λ = 1.5418 Å)).
Intensities are scaled so that the largest is 100.

Top 10 peaks for 5 to 70 degrees two-theta, in order of rising 2θ:
- 24.2°, I = 32, hkl 2 0 0
- 29.7°, I = 64, hkl 2 2 0
- 29.9°, I = 64, hkl 2 2 -2
- 34.5°, I = 100, hkl 0 4 0
- 49.5°, I = 11, hkl 4 0 0
- 49.7°, I = 45, hkl 0 4 2
- 49.8°, I = 11, hkl 4 0 -4
- 58.9°, I = 17, hkl 2 2 2
- 59.0°, I = 25, hkl 2 6 -2
- 61.8°, I = 11, hkl 4 4 0

Crystal structure
```
data_LiAc2Cd6In
_chemical_formula_sum 'Li2 Ac4 Cd12 In2'
_space_group_name_H-M_alt 'C 1 2/m 1'
_space_group_IT_number 12
_space_group_name_Hall '-C 2y'
_cell_length_a 10.3784
_cell_length_b 10.3843
_cell_length_c 7.3221
_cell_angle_alpha 90.00
_cell_angle_beta 134.78
_cell_angle_gamma 90.00
loop_
_atom_site_label
_atom_site_type_symbol
_atom_site_fract_x
_atom_site_fract_y
_atom_site_fract_z
Li1 Li 0.0000 0.0000 0.0000
Ac1 Ac 0.0000 0.2502 0.5000
Cd1 Cd 0.0000 0.2322 0.0000
Cd2 Cd 0.2320 0.0000 0.9997
Cd3 Cd 0.2320 0.0000 0.4645
In1 In 0.0000 0.5000 0.0000
```